MnBi12W2Cl3O24: theoretical X-ray powder pattern (a wavelength of 1.5418 Å), based on a structure optimized by DFT (GGA+U).

Most intense lines, 10 to 80 degrees two-theta, low angle first:
- 2θ 22.5, I = 10
- 2θ 23.4, I = 14
- 2θ 25.7, I = 13
- 2θ 29.3, I = 100
- 2θ 31.7, I = 17
- 2θ 32.5, I = 22
- 2θ 37.4, I = 11
- 2θ 46.0, I = 18
- 2θ 55.0, I = 10
- 2θ 56.0, I = 30

Lattice parameters (Å, degrees): 8.905 8.905 15.505 110.25 110.25 36.05
Fractional positions:
Mn1 0.000 0.000 0.000
Bi1 0.071 0.071 0.825
Bi2 0.112 0.112 0.359
Bi3 0.188 0.188 0.175
Bi4 0.204 0.204 0.639
Bi5 0.408 0.408 0.821
Bi6 0.445 0.445 0.361
Bi7 0.527 0.527 0.179
Bi8 0.539 0.539 0.641
Bi9 0.745 0.745 0.814
Bi10 0.778 0.778 0.359
Bi11 0.869 0.869 0.186
Bi12 0.873 0.873 0.641
W1 0.338 0.338 0.000
W2 0.667 0.667 0.000
Cl1 0.329 0.329 0.499
Cl2 0.662 0.662 0.499
Cl3 0.997 0.997 0.502
O1 0.005 0.508 0.000
O2 0.050 0.050 0.134
O3 0.068 0.563 0.715
O4 0.086 0.596 0.287
O5 0.179 0.655 0.000
O6 0.231 0.734 0.718
O7 0.258 0.753 0.285
O8 0.293 0.293 0.861
O9 0.344 0.845 0.000
O10 0.386 0.386 0.139
O11 0.405 0.894 0.713
O12 0.419 0.922 0.282
O13 0.508 0.005 0.000
O14 0.563 0.068 0.715
O15 0.596 0.086 0.287
O16 0.635 0.635 0.865
O17 0.655 0.179 0.000
O18 0.725 0.725 0.135
O19 0.734 0.231 0.718
O20 0.753 0.258 0.285
O21 0.845 0.344 0.000
O22 0.894 0.405 0.713
O23 0.922 0.419 0.282
O24 0.960 0.960 0.866

Li2NiPCO7: theoretical X-ray powder pattern (a wavelength of 1.5418 Å), based on a structure optimized by DFT (GGA+U).

Most intense lines, 10 to 80 degrees two-theta, low angle first:
- 2θ 10.5, I = 100
- 2θ 17.5, I = 42
- 2θ 20.2, I = 26
- 2θ 21.1, I = 31
- 2θ 22.6, I = 22
- 2θ 26.9, I = 38
- 2θ 28.1, I = 62
- 2θ 35.9, I = 23
- 2θ 52.1, I = 16
- 2θ 58.2, I = 17

Lattice parameters (Å, degrees): 5.013 6.343 8.433 90.00 93.02 90.00
Fractional positions:
Li1 0.213 0.004 0.261
Li2 0.213 0.496 0.261
Li3 0.787 0.504 0.739
Li4 0.787 0.996 0.739
Ni1 0.218 0.750 0.847
Ni2 0.782 0.250 0.153
P1 0.284 0.250 0.923
P2 0.716 0.750 0.077
C1 0.283 0.750 0.556
C2 0.717 0.250 0.444
O1 0.055 0.750 0.625
O2 0.174 0.250 0.091
O3 0.185 0.059 0.824
O4 0.185 0.441 0.824
O5 0.288 0.750 0.406
O6 0.402 0.750 0.057
O7 0.491 0.750 0.653
O8 0.509 0.250 0.347
O9 0.598 0.250 0.943
O10 0.712 0.250 0.594
O11 0.815 0.559 0.176
O12 0.815 0.941 0.176
O13 0.826 0.750 0.909
O14 0.945 0.250 0.375

FeTeP2O8: theoretical X-ray powder pattern (a wavelength of 1.5418 Å), based on a structure optimized by DFT (GGA+U).

Most intense lines, 10 to 80 degrees two-theta, low angle first:
- 2θ 15.9, I = 39
- 2θ 17.8, I = 72
- 2θ 21.3, I = 40
- 2θ 23.4, I = 73
- 2θ 23.9, I = 25
- 2θ 25.1, I = 54
- 2θ 26.5, I = 100
- 2θ 30.3, I = 28
- 2θ 33.5, I = 57
- 2θ 34.3, I = 24

Lattice parameters (Å, degrees): 4.899 6.716 10.029 89.90 82.83 89.78
Fractional positions:
Fe1 0.000 0.000 0.000
Fe2 0.077 0.495 0.530
Te1 0.475 0.499 0.063
Te2 0.602 0.995 0.466
P1 0.139 0.997 0.663
P2 0.410 0.996 0.175
P3 0.666 0.497 0.354
P4 0.938 0.497 0.867
O1 0.166 0.997 0.811
O2 0.241 0.498 0.891
O3 0.287 0.177 0.105
O4 0.291 0.815 0.104
O5 0.303 0.995 0.330
O6 0.309 0.174 0.584
O7 0.312 0.820 0.585
O8 0.352 0.497 0.366
O9 0.725 0.996 0.164
O10 0.765 0.674 0.945
O11 0.768 0.319 0.945
O12 0.774 0.499 0.200
O13 0.786 0.679 0.426
O14 0.789 0.316 0.425
O15 0.836 0.996 0.638
O16 0.911 0.497 0.719

CaFe4P4O16: theoretical X-ray powder pattern (a wavelength of 1.5418 Å), based on a structure optimized by DFT (GGA+U).

Most intense lines, 10 to 80 degrees two-theta, low angle first:
- 2θ 14.7, I = 66
- 2θ 17.8, I = 41
- 2θ 20.1, I = 54
- 2θ 20.4, I = 100
- 2θ 21.6, I = 91
- 2θ 22.8, I = 83
- 2θ 23.8, I = 43
- 2θ 25.7, I = 35
- 2θ 30.7, I = 69
- 2θ 30.9, I = 40

Lattice parameters (Å, degrees): 5.265 8.596 8.853 89.79 89.40 73.41
Fractional positions:
Ca1 0.000 0.000 0.000
Fe1 0.026 0.183 0.495
Fe2 0.426 0.326 0.983
Fe3 0.578 0.674 0.015
Fe4 0.952 0.804 0.503
P1 0.121 0.690 0.175
P2 0.369 0.820 0.678
P3 0.607 0.166 0.320
P4 0.885 0.307 0.821
O1 0.013 0.662 0.333
O2 0.124 0.241 0.930
O3 0.160 0.971 0.604
O4 0.260 0.682 0.620
O5 0.270 0.822 0.174
O6 0.321 0.181 0.370
O7 0.322 0.535 0.111
O8 0.356 0.837 0.851
O9 0.630 0.154 0.146
O10 0.653 0.804 0.622
O11 0.692 0.464 0.885
O12 0.712 0.304 0.383
O13 0.729 0.178 0.827
O14 0.813 0.014 0.393
O15 0.885 0.753 0.063
O16 0.988 0.328 0.661

VPO5: theoretical X-ray powder pattern (a wavelength of 1.5418 Å), based on a structure optimized by DFT (GGA+U).

Most intense lines, 10 to 80 degrees two-theta, low angle first:
- 2θ 18.4, I = 99
- 2θ 18.9, I = 76
- 2θ 22.0, I = 22
- 2θ 26.2, I = 37
- 2θ 26.8, I = 39
- 2θ 27.9, I = 100
- 2θ 29.8, I = 56
- 2θ 36.1, I = 28
- 2θ 36.5, I = 33
- 2θ 46.8, I = 21

Lattice parameters (Å, degrees): 5.232 5.232 6.995 105.75 105.75 101.28
Fractional positions:
V1 0.000 0.000 0.000
V2 0.000 0.000 0.500
P1 0.328 0.672 0.750
P2 0.672 0.328 0.250
O1 0.063 0.937 0.250
O2 0.136 0.699 0.884
O3 0.248 0.369 0.601
O4 0.301 0.864 0.616
O5 0.369 0.248 0.101
O6 0.631 0.752 0.899
O7 0.699 0.136 0.384
O8 0.752 0.631 0.399
O9 0.864 0.301 0.116
O10 0.937 0.063 0.750

Li9Mn2Co5O16: theoretical X-ray powder pattern (a wavelength of 1.5418 Å), based on a structure optimized by DFT (GGA+U).

Most intense lines, 10 to 80 degrees two-theta, low angle first:
- 2θ 18.3, I = 100
- 2θ 35.6, I = 14
- 2θ 36.1, I = 26
- 2θ 43.2, I = 28
- 2θ 43.6, I = 55
- 2θ 47.7, I = 9
- 2θ 57.4, I = 10
- 2θ 63.0, I = 15
- 2θ 63.2, I = 14
- 2θ 66.4, I = 9

Lattice parameters (Å, degrees): 6.619 6.619 15.398 92.24 92.24 25.32
Fractional positions:
Li1 0.000 0.000 0.000
Li2 0.122 0.122 0.368
Li3 0.251 0.251 0.749
Li4 0.376 0.376 0.123
Li5 0.440 0.440 0.310
Li6 0.500 0.500 0.485
Li7 0.627 0.627 0.879
Li8 0.755 0.755 0.241
Li9 0.876 0.876 0.620
Mn1 0.566 0.566 0.684
Mn2 0.819 0.819 0.430
Co1 0.051 0.051 0.189
Co2 0.188 0.188 0.555
Co3 0.312 0.312 0.932
Co4 0.689 0.689 0.061
Co5 0.938 0.938 0.811
O1 0.037 0.037 0.602
O2 0.094 0.094 0.766
O3 0.161 0.161 0.971
O4 0.217 0.217 0.145
O5 0.286 0.286 0.352
O6 0.339 0.339 0.519
O7 0.421 0.421 0.717
O8 0.465 0.465 0.896
O9 0.539 0.539 0.099
O10 0.594 0.594 0.266
O11 0.666 0.666 0.466
O12 0.710 0.710 0.649
O13 0.782 0.782 0.842
O14 0.840 0.840 0.020
O15 0.915 0.915 0.212
O16 0.957 0.957 0.406

LiFeO3: theoretical X-ray powder pattern (a wavelength of 1.5418 Å), based on a structure optimized by DFT (GGA+U).

Most intense lines, 10 to 80 degrees two-theta, low angle first:
- 2θ 14.1, I = 23
- 2θ 15.2, I = 29
- 2θ 18.2, I = 100
- 2θ 23.1, I = 21
- 2θ 36.3, I = 19
- 2θ 43.2, I = 20
- 2θ 43.6, I = 41
- 2θ 57.1, I = 15
- 2θ 63.0, I = 10
- 2θ 63.1, I = 10

Lattice parameters (Å, degrees): 6.616 6.616 5.992 103.24 103.24 25.14
Fractional positions:
Li1 0.000 0.000 0.000
Li2 0.000 0.000 0.500
Fe1 0.335 0.335 0.678
Fe2 0.665 0.665 0.322
O1 0.171 0.171 0.127
O2 0.175 0.175 0.547
O3 0.475 0.475 0.736
O4 0.525 0.525 0.264
O5 0.825 0.825 0.453
O6 0.829 0.829 0.873